# 1
Theoretical X-ray diffraction stick pattern
Compound: V3CdO7
Radiation: Cu Kα (weighted mean of Kα1 and Kα2)
Structure: a cell relaxed with PBE+U

Atomic structure:
```
data_V3CdO7
_space_group_name_H-M_alt 'P n m a'
_space_group_IT_number 62
_cell_length_a 11.364
_cell_length_b 10.529
_cell_length_c 5.385
_cell_angle_alpha 90.00
_cell_angle_beta 90.00
_cell_angle_gamma 90.00
loop_
_space_group_symop_operation_xyz
'x,y,z'
'-x,-y,-z'
'-x+1/2,-y,z+1/2'
'x+1/2,y,-z+1/2'
'x+1/2,-y+1/2,-z+1/2'
'-x+1/2,y+1/2,z+1/2'
'-x,y+1/2,-z'
'x,-y+1/2,z'
loop_
_atom_site_label
_atom_site_fract_x
_atom_site_fract_y
_atom_site_fract_z
V1 0.178 0.250 0.230
V2 0.194 0.531 0.225
Cd1 0.063 0.250 0.728
O1 0.032 0.250 0.271
O2 0.056 0.587 0.251
O3 0.204 0.114 0.978
O4 0.222 0.111 0.456
```

Largest 10 diffraction maxima, sorted by position, 5° ≤ 2θ ≤ 70°:
(hkl), Position (°2θ), intensity
2 1 0, 17.74, 100
0 1 1, 18.51, 36
2 2 0, 23.03, 62
2 1 1, 24.29, 56
2 2 1, 28.44, 44
2 3 0, 29.92, 45
0 0 2, 33.27, 39
4 0 1, 35.73, 51
2 3 2, 45.35, 42
4 4 1, 50.19, 43



# 2
Theoretical X-ray diffraction stick pattern
Compound: CdWO4
Radiation: Cu Kα (weighted mean of Kα1 and Kα2)
Structure: a cell relaxed with PBE+U

Atomic structure:
```
data_CdWO4
_space_group_name_H-M_alt 'P 1 2/c 1'
_space_group_IT_number 13
_cell_length_a 5.104
_cell_length_b 5.991
_cell_length_c 5.199
_cell_angle_alpha 90.00
_cell_angle_beta 92.10
_cell_angle_gamma 90.00
loop_
_space_group_symop_operation_xyz
'x,y,z'
'-x,-y,-z'
'-x,y,-z+1/2'
'x,-y,z+1/2'
loop_
_atom_site_label
_atom_site_fract_x
_atom_site_fract_y
_atom_site_fract_z
Cd1 0.000 0.188 0.250
W1 0.500 0.329 0.750
O1 0.256 0.133 0.615
O2 0.300 0.403 0.053
```

Largest 10 diffraction maxima, sorted by position, 5° ≤ 2θ ≤ 70°:
(hkl), Position (°2θ), intensity
1 1 0, 22.90, 46
1 1 -1, 28.30, 100
1 1 1, 29.09, 91
0 2 0, 29.82, 18
0 0 2, 34.54, 63
2 0 0, 35.19, 22
1 3 0, 48.98, 26
2 2 -1, 49.66, 18
2 2 1, 50.64, 21
3 1 -1, 58.57, 18



# 3
Theoretical X-ray diffraction stick pattern
Compound: Sr2Ce2YCoCu2O11
Radiation: Cu Kα (weighted mean of Kα1 and Kα2)
Structure: a cell relaxed with PBE+U

Atomic structure:
```
data_Sr2Ce2YCoCu2O11
_space_group_name_H-M_alt 'I m a 2'
_space_group_IT_number 46
_cell_length_a 33.959
_cell_length_b 5.496
_cell_length_c 5.456
_cell_angle_alpha 90.00
_cell_angle_beta 90.00
_cell_angle_gamma 90.00
loop_
_space_group_symop_operation_xyz
'x,y,z'
'-x,-y,z'
'-x+1/2,y,z'
'x+1/2,-y,z'
'x+1/2,y+1/2,z+1/2'
'-x+1/2,-y+1/2,z+1/2'
'-x,y+1/2,z+1/2'
'x,-y+1/2,z+1/2'
loop_
_atom_site_label
_atom_site_fract_x
_atom_site_fract_y
_atom_site_fract_z
Sr1 0.183 0.012 0.000
Ce1 0.076 0.001 0.001
Y1 0.000 0.000 0.501
Co1 0.250 0.564 0.037
Cu1 0.130 0.501 0.000
O1 0.041 0.250 0.251
O2 0.041 0.750 0.251
O3 0.124 0.248 0.752
O4 0.125 0.749 0.250
O5 0.199 0.034 0.482
O6 0.250 0.612 0.392
```

Largest 10 diffraction maxima, sorted by position, 5° ≤ 2θ ≤ 70°:
(hkl), Position (°2θ), intensity
2 0 0, 5.20, 20
6 1 1, 27.92, 14
8 1 1, 31.27, 100
0 2 0, 32.59, 22
0 0 2, 32.83, 22
12 1 1, 39.44, 12
16 0 0, 42.58, 10
0 2 2, 46.93, 30
8 3 1, 57.32, 16
8 1 3, 57.64, 19